Diffraction record for DyVO2. The powder X-ray diffraction pattern is simulated, not measured: it uses a PBE+U-relaxed structure and λ = 1.5418 Å (Cu Kα).
Intensities are scaled so that the largest is 100.

Most intense lines, 5 to 70 degrees two-theta, by angle:
2θ 16.22, rel. 54.2; 2θ 30.72, rel. 43.2; 2θ 32.77, rel. 100.0; 2θ 33.26, rel. 21.6; 2θ 41.24, rel. 45.9; 2θ 41.44, rel. 7.9; 2θ 51.27, rel. 8.4; 2θ 52.30, rel. 37.3; 2θ 55.93, rel. 30.4; 2θ 59.75, rel. 14.4; 2θ 68.69, rel. 16.0; 2θ 69.84, rel. 23.5

Crystal structure
```
DyVO2
1.0
-3.0956 3.0956 5.8202
3.0956 -3.0956 5.8202
3.0956 3.0956 -5.8202
Dy V O
4 4 8
direct
0.0000 0.0000 0.0000
0.0000 0.0000 0.5000
0.0000 0.5000 0.0000
0.5000 0.0000 0.5000
0.0000 0.5000 0.5000
0.5000 0.0000 0.0000
0.5000 0.5000 0.0000
0.5000 0.5000 0.5000
0.1998 0.2156 0.5158
0.1998 0.6839 0.9842
0.2156 0.1998 0.0158
0.3161 0.8002 0.5158
0.6839 0.1998 0.4842
0.7844 0.8002 0.9842
0.8002 0.3161 0.0158
0.8002 0.7844 0.4842
```


Diffraction record for LiV4Ni2O12. The powder X-ray diffraction pattern is simulated, not measured: it uses a PBE+U-relaxed structure and λ = 1.5418 Å (Cu Kα).
Intensities are scaled so that the largest is 100.

Most intense lines, 5 to 70 degrees two-theta, by angle:
2θ 13.26, rel. 30.4; 2θ 13.78, rel. 50.6; 2θ 18.44, rel. 57.6; 2θ 18.94, rel. 52.7; 2θ 19.94, rel. 71.8; 2θ 28.33, rel. 100.0; 2θ 28.46, rel. 81.4; 2θ 29.13, rel. 73.6; 2θ 29.88, rel. 38.3; 2θ 33.20, rel. 77.2; 2θ 34.32, rel. 28.3; 2θ 45.49, rel. 38.6

Crystal structure
```
LiV4Ni2O12
1.0
5.7527 0.0000 0.0000
1.9333 6.4456 0.0000
1.5985 0.5414 6.6775
Li V Ni O
1 4 2 12
direct
0.0000 0.0000 0.0000
0.4124 0.2204 0.0699
0.4478 0.7889 0.6559
0.8753 0.4486 0.8781
0.9309 0.9805 0.4864
0.4456 0.6833 0.1928
0.9461 0.5257 0.3537
0.0386 0.8272 0.2837
0.1256 0.9197 0.6771
0.1813 0.2409 0.9313
0.3171 0.4193 0.2314
0.4512 0.9825 0.1981
0.4821 0.6583 0.8842
0.5406 0.6256 0.4709
0.6182 0.9819 0.6043
0.7158 0.2236 0.9301
0.8201 0.5814 0.1003
0.9166 0.2242 0.3977
0.9627 0.5530 0.6372
```


Diffraction record for CoTe2O5. The powder X-ray diffraction pattern is simulated, not measured: it uses a PBE+U-relaxed structure and λ = 1.5418 Å (Cu Kα).
Intensities are scaled so that the largest is 100.

Most intense lines, 5 to 70 degrees two-theta, by angle:
2θ 25.20, rel. 100.0; 2θ 27.61, rel. 33.8; 2θ 29.46, rel. 73.3; 2θ 29.57, rel. 13.3; 2θ 33.08, rel. 20.7; 2θ 40.90, rel. 17.2; 2θ 49.88, rel. 16.4; 2θ 51.35, rel. 28.1; 2θ 52.39, rel. 12.8; 2θ 54.35, rel. 19.1; 2θ 58.42, rel. 14.6; 2θ 68.62, rel. 16.6

Crystal structure
```
CoTe2O5
1.0
7.4136 0.0000 0.0000
0.0000 10.7666 0.0000
0.0000 0.0000 6.0421
Co Te O
4 8 20
direct
0.0000 0.0608 0.2500
0.0000 0.9392 0.7500
0.5000 0.4392 0.7500
0.5000 0.5608 0.2500
0.1361 0.3469 0.0099
0.1361 0.6531 0.5099
0.3639 0.1531 0.5099
0.3639 0.8469 0.0099
0.6361 0.1531 0.9901
0.6361 0.8469 0.4901
0.8639 0.3469 0.4901
0.8639 0.6531 0.9901
0.0000 0.4415 0.2500
0.0000 0.5585 0.7500
0.1481 0.0636 0.5513
0.1481 0.9364 0.0513
0.1920 0.2065 0.1893
0.1920 0.7935 0.6893
0.3080 0.2935 0.6893
0.3080 0.7065 0.1893
0.3519 0.4364 0.0513
0.3519 0.5636 0.5513
0.5000 0.0585 0.7500
0.5000 0.9415 0.2500
0.6481 0.4364 0.4487
0.6481 0.5636 0.9487
0.6920 0.2935 0.8107
0.6920 0.7065 0.3107
0.8080 0.2065 0.3107
0.8080 0.7935 0.8107
0.8519 0.0636 0.9487
0.8519 0.9364 0.4487
```


Diffraction record for LiTiVO5. The powder X-ray diffraction pattern is simulated, not measured: it uses a PBE+U-relaxed structure and λ = 1.5418 Å (Cu Kα).
Intensities are scaled so that the largest is 100.

Most intense lines, 5 to 70 degrees two-theta, by angle:
2θ 19.29, rel. 74.9; 2θ 23.50, rel. 49.2; 2θ 26.76, rel. 100.0; 2θ 33.20, rel. 72.8; 2θ 41.53, rel. 13.6; 2θ 42.61, rel. 12.2; 2θ 43.67, rel. 14.8; 2θ 45.35, rel. 14.2; 2θ 55.14, rel. 26.5; 2θ 58.98, rel. 10.9; 2θ 59.19, rel. 8.3; 2θ 65.12, rel. 8.5

Crystal structure
```
LiTiVO5
1.0
4.6438 -4.7809 0.0000
4.6438 4.7809 0.0000
0.0000 0.0000 4.6007
Li Ti V O
2 2 2 10
direct
0.0000 0.5000 0.0000
0.5000 0.0000 0.0000
0.2500 0.2500 0.5000
0.7500 0.7500 0.5000
0.2500 0.7500 0.6219
0.7500 0.2500 0.3781
0.0250 0.2577 0.2720
0.2423 0.4750 0.7280
0.2500 0.7500 0.2648
0.2577 0.0250 0.7280
0.4750 0.2423 0.2720
0.5250 0.7577 0.7280
0.7423 0.9750 0.2720
0.7500 0.2500 0.7352
0.7577 0.5250 0.2720
0.9750 0.7423 0.7280
```